# GaAg2Se3
Theoretical PXRD pattern, Cu Kα (weighted mean of Kα1 and Kα2). Input: a structure optimized by DFT (PBE).

```
data_GaAg2Se3
_chemical_formula_sum 'Ga4 Ag8 Se12'
_space_group_name_H-M_alt 'C 1 c 1'
_space_group_IT_number 9
_space_group_name_Hall 'C -2yc'
_cell_length_a 7.292
_cell_length_b 12.725
_cell_length_c 7.148
_cell_angle_alpha 90.00
_cell_angle_beta 108.87
_cell_angle_gamma 90.00
loop_
_atom_site_label
_atom_site_type_symbol
_atom_site_fract_x
_atom_site_fract_y
_atom_site_fract_z
Ga1 Ga 0.000 0.081 0.000
Ag1 Ag 0.487 0.084 0.490
Ag2 Ag 0.492 0.254 0.990
Se1 Se 0.353 0.085 0.106
Se2 Se 0.372 0.260 0.605
Se3 Se 0.374 0.426 0.131
```

Main lines, most intense first (10° ≤ 2θ ≤ 90°):
- d = 3.442 Å, 25.9 deg, intensity 100
- d = 3.382 Å, 26.4 deg, intensity 35
- d = 2.109 Å, 42.9 deg, intensity 33
- d = 2.077 Å, 43.6 deg, intensity 32
- d = 2.121 Å, 42.6 deg, intensity 17
- d = 2.099 Å, 43.1 deg, intensity 16
- d = 1.802 Å, 50.7 deg, intensity 10
- d = 1.797 Å, 50.8 deg, intensity 10
- d = 1.777 Å, 51.4 deg, intensity 10
- d = 1.492 Å, 62.2 deg, intensity 10

# Ga2Ag2TeSe3
Theoretical PXRD pattern, Cu Kα (weighted mean of Kα1 and Kα2). Input: a structure optimized by DFT (PBE).

```
data_Ga2Ag2TeSe3
_chemical_formula_sum 'Ga4 Ag4 Te2 Se6'
_space_group_name_H-M_alt 'C 1 2 1'
_space_group_IT_number 5
_space_group_name_Hall 'C 2y'
_cell_length_a 12.888
_cell_length_b 6.128
_cell_length_c 6.203
_cell_angle_alpha 90.00
_cell_angle_beta 117.62
_cell_angle_gamma 90.00
loop_
_atom_site_label
_atom_site_type_symbol
_atom_site_fract_x
_atom_site_fract_y
_atom_site_fract_z
Ga1 Ga 0.129 0.000 0.389
Ag1 Ag 0.131 0.479 0.871
Te1 Te 0.000 0.761 0.000
Se1 Se 0.000 0.218 0.500
Se2 Se 0.250 0.244 0.281
```

Main lines, most intense first (10° ≤ 2θ ≤ 90°):
- d = 3.442 Å, 25.9 deg, intensity 100
- d = 3.488 Å, 25.5 deg, intensity 95
- d = 2.180 Å, 41.4 deg, intensity 51
- d = 2.089 Å, 43.3 deg, intensity 46
- d = 1.841 Å, 49.5 deg, intensity 31
- d = 2.121 Å, 42.6 deg, intensity 24
- d = 2.080 Å, 43.5 deg, intensity 22
- d = 1.864 Å, 48.9 deg, intensity 16
- d = 1.753 Å, 52.2 deg, intensity 14
- d = 1.834 Å, 49.7 deg, intensity 13

# Ga2Si2Ag5
Theoretical PXRD pattern, Cu Kα (weighted mean of Kα1 and Kα2). Input: a structure optimized by DFT (PBE).

```
data_Ga2Si2Ag5
_chemical_formula_sum 'Ga6 Si6 Ag15'
_space_group_name_H-M_alt 'R 3 m'
_space_group_IT_number 160
_space_group_name_Hall 'R 3 -2"'
_cell_length_a 3.0226
_cell_length_b 3.0226
_cell_length_c 60.9796
_cell_angle_alpha 90.00
_cell_angle_beta 90.00
_cell_angle_gamma 120.00
loop_
_atom_site_label
_atom_site_type_symbol
_atom_site_fract_x
_atom_site_fract_y
_atom_site_fract_z
Ga1 Ga 0.0000 0.0000 0.0000
Ga2 Ga 0.0000 0.0000 0.1819
Si1 Si 0.0000 0.0000 0.4094
Si2 Si 0.0000 0.0000 0.5910
Ag1 Ag 0.0000 0.0000 0.1088
Ag2 Ag 0.0000 0.0000 0.2240
Ag3 Ag 0.0000 0.0000 0.3686
Ag4 Ag 0.0000 0.0000 0.4800
Ag5 Ag 0.0000 0.0000 0.9579
```

Main lines, most intense first (10° ≤ 2θ ≤ 90°):
- d = 2.476 Å, 36.3 deg, intensity 100
- d = 2.614 Å, 34.3 deg, intensity 77
- d = 2.028 Å, 44.7 deg, intensity 68
- d = 2.259 Å, 39.9 deg, intensity 65
- d = 1.511 Å, 61.3 deg, intensity 59
- d = 1.256 Å, 75.7 deg, intensity 55
- d = 2.114 Å, 42.8 deg, intensity 40
- d = 2.507 Å, 35.8 deg, intensity 33
- d = 2.580 Å, 34.8 deg, intensity 32
- d = 4.065 Å, 21.9 deg, intensity 30

# Sm3Ga8Ag3
Theoretical PXRD pattern, Cu Kα (weighted mean of Kα1 and Kα2). Input: a structure optimized by DFT (PBE).

```
data_Sm3Ga8Ag3
_chemical_formula_sum 'Sm6 Ga16 Ag6'
_space_group_name_H-M_alt 'I m m m'
_space_group_IT_number 71
_space_group_name_Hall '-I 2 2'
_cell_length_a 4.366
_cell_length_b 9.591
_cell_length_c 13.188
_cell_angle_alpha 90.00
_cell_angle_beta 90.00
_cell_angle_gamma 90.00
loop_
_atom_site_label
_atom_site_type_symbol
_atom_site_fract_x
_atom_site_fract_y
_atom_site_fract_z
Sm1 Sm 0.000 0.000 0.000
Sm2 Sm 0.000 0.000 0.301
Ga1 Ga 0.000 0.281 0.143
Ga2 Ga 0.000 0.368 0.341
Ag1 Ag 0.000 0.198 0.500
Ag2 Ag 0.000 0.500 0.000
```

Main lines, most intense first (10° ≤ 2θ ≤ 90°):
- d = 2.602 Å, 34.5 deg, intensity 100
- d = 2.583 Å, 34.7 deg, intensity 36
- d = 2.183 Å, 41.4 deg, intensity 34
- d = 2.401 Å, 37.5 deg, intensity 33
- d = 2.198 Å, 41.1 deg, intensity 21
- d = 2.538 Å, 35.4 deg, intensity 20
- d = 1.549 Å, 59.7 deg, intensity 19
- d = 1.403 Å, 66.7 deg, intensity 13
- d = 2.717 Å, 33.0 deg, intensity 12
- d = 1.328 Å, 71.0 deg, intensity 12

# TbSmGa2Ag2
Theoretical PXRD pattern, Cu Kα (weighted mean of Kα1 and Kα2). Input: a structure optimized by DFT (PBE).

```
data_TbSmGa2Ag2
_chemical_formula_sum 'Tb1 Sm1 Ga2 Ag2'
_space_group_name_H-M_alt 'P -6 m 2'
_space_group_IT_number 187
_space_group_name_Hall 'P -6 2'
_cell_length_a 4.6351
_cell_length_b 4.6351
_cell_length_c 7.1095
_cell_angle_alpha 90.00
_cell_angle_beta 90.00
_cell_angle_gamma 120.00
loop_
_atom_site_label
_atom_site_type_symbol
_atom_site_fract_x
_atom_site_fract_y
_atom_site_fract_z
Tb1 Tb 0.0000 0.0000 0.0000
Sm1 Sm 0.0000 0.0000 0.5000
Ga1 Ga 0.6667 0.3333 0.2775
Ag1 Ag 0.3333 0.6667 0.2354
```

Main lines, most intense first (10° ≤ 2θ ≤ 90°):
- d = 2.661 Å, 33.7 deg, intensity 100
- d = 2.318 Å, 38.9 deg, intensity 64
- d = 1.748 Å, 52.3 deg, intensity 28
- d = 1.395 Å, 67.1 deg, intensity 26
- d = 1.410 Å, 66.3 deg, intensity 22
- d = 4.014 Å, 22.1 deg, intensity 11
- d = 1.338 Å, 70.4 deg, intensity 11
- d = 1.777 Å, 51.4 deg, intensity 8
- d = 1.159 Å, 83.4 deg, intensity 7
- d = 1.136 Å, 85.4 deg, intensity 6

# SmTmGa2Ag2
Theoretical PXRD pattern, Cu Kα (weighted mean of Kα1 and Kα2). Input: a structure optimized by DFT (PBE).

```
data_SmTmGa2Ag2
_chemical_formula_sum 'Sm1 Tm1 Ga2 Ag2'
_space_group_name_H-M_alt 'P -6 m 2'
_space_group_IT_number 187
_space_group_name_Hall 'P -6 2'
_cell_length_a 4.6147
_cell_length_b 4.6147
_cell_length_c 7.0494
_cell_angle_alpha 90.00
_cell_angle_beta 90.00
_cell_angle_gamma 120.00
loop_
_atom_site_label
_atom_site_type_symbol
_atom_site_fract_x
_atom_site_fract_y
_atom_site_fract_z
Sm1 Sm 0.0000 0.0000 0.0000
Tm1 Tm 0.0000 0.0000 0.5000
Ga1 Ga 0.6667 0.3333 0.2235
Ag1 Ag 0.3333 0.6667 0.2682
```

Main lines, most intense first (10° ≤ 2θ ≤ 90°):
- d = 2.643 Å, 33.9 deg, intensity 100
- d = 2.307 Å, 39.0 deg, intensity 64
- d = 1.738 Å, 52.7 deg, intensity 28
- d = 1.388 Å, 67.5 deg, intensity 26
- d = 1.401 Å, 66.8 deg, intensity 22
- d = 3.996 Å, 22.2 deg, intensity 12
- d = 1.332 Å, 70.7 deg, intensity 11
- d = 1.762 Å, 51.9 deg, intensity 8
- d = 1.154 Å, 83.9 deg, intensity 7
- d = 1.127 Å, 86.3 deg, intensity 6

# SmTmGa2Ag2
Theoretical PXRD pattern, Cu Kα (weighted mean of Kα1 and Kα2). Input: a structure optimized by DFT (PBE).

```
data_SmTmGa2Ag2
_chemical_formula_sum 'Sm1 Tm1 Ga2 Ag2'
_space_group_name_H-M_alt 'P -6 m 2'
_space_group_IT_number 187
_space_group_name_Hall 'P -6 2'
_cell_length_a 4.6053
_cell_length_b 4.6053
_cell_length_c 7.0758
_cell_angle_alpha 90.00
_cell_angle_beta 90.00
_cell_angle_gamma 120.00
loop_
_atom_site_label
_atom_site_type_symbol
_atom_site_fract_x
_atom_site_fract_y
_atom_site_fract_z
Sm1 Sm 0.0000 0.0000 0.0000
Tm1 Tm 0.0000 0.0000 0.5000
Ga1 Ga 0.6667 0.3333 0.2888
Ag1 Ag 0.3333 0.6667 0.2539
```

Main lines, most intense first (10° ≤ 2θ ≤ 90°):
- d = 2.647 Å, 33.9 deg, intensity 100
- d = 2.303 Å, 39.1 deg, intensity 64
- d = 1.737 Å, 52.7 deg, intensity 28
- d = 1.387 Å, 67.5 deg, intensity 26
- d = 1.403 Å, 66.7 deg, intensity 21
- d = 3.988 Å, 22.3 deg, intensity 12
- d = 1.329 Å, 70.9 deg, intensity 11
- d = 1.769 Å, 51.7 deg, intensity 8
- d = 1.151 Å, 84.1 deg, intensity 7
- d = 1.131 Å, 86.0 deg, intensity 6

# SrGaAg2Sn
Theoretical PXRD pattern, Cu Kα (weighted mean of Kα1 and Kα2). Input: a structure optimized by DFT (PBE).

```
data_SrGaAg2Sn
_chemical_formula_sum 'Sr2 Ga2 Ag4 Sn2'
_space_group_name_H-M_alt 'I 4 m m'
_space_group_IT_number 107
_space_group_name_Hall 'I 4 -2'
_cell_length_a 4.711
_cell_length_b 4.711
_cell_length_c 11.002
_cell_angle_alpha 90.00
_cell_angle_beta 90.00
_cell_angle_gamma 90.00
loop_
_atom_site_label
_atom_site_type_symbol
_atom_site_fract_x
_atom_site_fract_y
_atom_site_fract_z
Sr1 Sr 0.000 0.000 0.000
Ga1 Ga 0.000 0.000 0.373
Ag1 Ag 0.000 0.500 0.259
Sn1 Sn 0.000 0.000 0.619
```

Main lines, most intense first (10° ≤ 2θ ≤ 90°):
- d = 2.849 Å, 31.4 deg, intensity 100
- d = 2.355 Å, 38.2 deg, intensity 70
- d = 2.894 Å, 30.9 deg, intensity 48
- d = 2.121 Å, 42.6 deg, intensity 42
- d = 1.827 Å, 49.9 deg, intensity 25
- d = 1.665 Å, 55.1 deg, intensity 24
- d = 1.438 Å, 64.8 deg, intensity 23
- d = 5.501 Å, 16.1 deg, intensity 20
- d = 1.994 Å, 45.5 deg, intensity 19
- d = 1.310 Å, 72.1 deg, intensity 17

# Nd2GdAg4Ge4
Theoretical PXRD pattern, Cu Kα (weighted mean of Kα1 and Kα2). Input: a structure optimized by DFT (PBE).

```
data_Nd2GdAg4Ge4
_chemical_formula_sum 'Nd4 Gd2 Ag8 Ge8'
_space_group_name_H-M_alt 'I m m m'
_space_group_IT_number 71
_space_group_name_Hall '-I 2 2'
_cell_length_a 4.448
_cell_length_b 7.157
_cell_length_c 14.769
_cell_angle_alpha 90.00
_cell_angle_beta 90.00
_cell_angle_gamma 90.00
loop_
_atom_site_label
_atom_site_type_symbol
_atom_site_fract_x
_atom_site_fract_y
_atom_site_fract_z
Nd1 Nd 0.000 0.000 0.127
Gd1 Gd 0.000 0.500 0.000
Ag1 Ag 0.000 0.195 0.331
Ge1 Ge 0.000 0.315 0.500
Ge2 Ge 0.000 0.500 0.216
```

Main lines, most intense first (10° ≤ 2θ ≤ 90°):
- d = 2.740 Å, 32.7 deg, intensity 100
- d = 2.640 Å, 34.0 deg, intensity 93
- d = 2.224 Å, 40.6 deg, intensity 45
- d = 2.147 Å, 42.1 deg, intensity 37
- d = 2.461 Å, 36.5 deg, intensity 31
- d = 2.730 Å, 32.8 deg, intensity 29
- d = 2.426 Å, 37.1 deg, intensity 25
- d = 1.545 Å, 59.9 deg, intensity 25
- d = 1.650 Å, 55.7 deg, intensity 19
- d = 2.028 Å, 44.7 deg, intensity 19

# NdGd2Ag4Sn2Ge2
Theoretical PXRD pattern, Cu Kα (weighted mean of Kα1 and Kα2). Input: a structure optimized by DFT (PBE).

```
data_NdGd2Ag4Sn2Ge2
_chemical_formula_sum 'Nd2 Gd4 Ag8 Sn4 Ge4'
_space_group_name_H-M_alt 'I m m m'
_space_group_IT_number 71
_space_group_name_Hall '-I 2 2'
_cell_length_a 4.442
_cell_length_b 7.470
_cell_length_c 15.020
_cell_angle_alpha 90.00
_cell_angle_beta 90.00
_cell_angle_gamma 90.00
loop_
_atom_site_label
_atom_site_type_symbol
_atom_site_fract_x
_atom_site_fract_y
_atom_site_fract_z
Nd1 Nd 0.000 0.000 0.000
Gd1 Gd 0.000 0.500 0.133
Ag1 Ag 0.000 0.305 0.324
Sn1 Sn 0.000 0.192 0.500
Ge1 Ge 0.000 0.000 0.218
```

Main lines, most intense first (10° ≤ 2θ ≤ 90°):
- d = 2.808 Å, 31.9 deg, intensity 100
- d = 2.677 Å, 33.5 deg, intensity 79
- d = 2.221 Å, 40.6 deg, intensity 42
- d = 2.230 Å, 40.5 deg, intensity 41
- d = 2.485 Å, 36.1 deg, intensity 32
- d = 1.574 Å, 58.7 deg, intensity 27
- d = 2.503 Å, 35.9 deg, intensity 25
- d = 2.071 Å, 43.7 deg, intensity 24
- d = 2.787 Å, 32.1 deg, intensity 20
- d = 1.325 Å, 71.2 deg, intensity 17

# GdAgGeS3
Theoretical PXRD pattern, Cu Kα (weighted mean of Kα1 and Kα2). Input: a structure optimized by DFT (PBE).

```
data_GdAgGeS3
_chemical_formula_sum 'Gd4 Ag4 Ge4 S12'
_space_group_name_H-M_alt 'C m c m'
_space_group_IT_number 63
_space_group_name_Hall '-C 2c 2'
_cell_length_a 3.890
_cell_length_b 12.579
_cell_length_c 10.582
_cell_angle_alpha 90.00
_cell_angle_beta 90.00
_cell_angle_gamma 90.00
loop_
_atom_site_label
_atom_site_type_symbol
_atom_site_fract_x
_atom_site_fract_y
_atom_site_fract_z
Gd1 Gd 0.000 0.000 0.000
Ag1 Ag 0.000 0.473 0.250
Ge1 Ge 0.000 0.241 0.750
S1 S 0.000 0.108 0.250
S2 S 0.000 0.354 0.065
```

Main lines, most intense first (10° ≤ 2θ ≤ 90°):
- d = 2.510 Å, 35.8 deg, intensity 100
- d = 6.289 Å, 14.1 deg, intensity 70
- d = 3.041 Å, 29.4 deg, intensity 70
- d = 2.646 Å, 33.9 deg, intensity 38
- d = 2.754 Å, 32.5 deg, intensity 35
- d = 1.962 Å, 46.3 deg, intensity 28
- d = 3.145 Å, 28.4 deg, intensity 23
- d = 2.024 Å, 44.8 deg, intensity 22
- d = 1.945 Å, 46.7 deg, intensity 21
- d = 4.049 Å, 22.0 deg, intensity 18

# GdHoAg2Sb4
Theoretical PXRD pattern, Cu Kα (weighted mean of Kα1 and Kα2). Input: a structure optimized by DFT (PBE).

```
data_GdHoAg2Sb4
_chemical_formula_sum 'Gd1 Ho1 Ag2 Sb4'
_space_group_name_H-M_alt 'P 4 m m'
_space_group_IT_number 99
_space_group_name_Hall 'P 4 -2'
_cell_length_a 4.338
_cell_length_b 4.338
_cell_length_c 10.439
_cell_angle_alpha 90.00
_cell_angle_beta 90.00
_cell_angle_gamma 90.00
loop_
_atom_site_label
_atom_site_type_symbol
_atom_site_fract_x
_atom_site_fract_y
_atom_site_fract_z
Gd1 Gd 0.000 0.000 0.000
Ho1 Ho 0.500 0.500 0.472
Ag1 Ag 0.000 0.500 0.735
Sb1 Sb 0.000 0.000 0.550
Sb2 Sb 0.000 0.500 0.238
Sb3 Sb 0.500 0.500 0.920
```

Main lines, most intense first (10° ≤ 2θ ≤ 90°):
- d = 2.645 Å, 33.9 deg, intensity 100
- d = 2.169 Å, 41.6 deg, intensity 33
- d = 1.327 Å, 71.0 deg, intensity 23
- d = 1.668 Å, 55.1 deg, intensity 15
- d = 2.610 Å, 34.4 deg, intensity 15
- d = 3.336 Å, 26.7 deg, intensity 11
- d = 1.534 Å, 60.3 deg, intensity 11
- d = 2.236 Å, 40.3 deg, intensity 9
- d = 1.322 Å, 71.3 deg, intensity 7
- d = 1.881 Å, 48.4 deg, intensity 6

# GdHoAg2Se4
Theoretical PXRD pattern, Cu Kα (weighted mean of Kα1 and Kα2). Input: a structure optimized by DFT (PBE).

```
data_GdHoAg2Se4
_chemical_formula_sum 'Gd2 Ho2 Ag4 Se8'
_space_group_name_H-M_alt 'C m m 2'
_space_group_IT_number 35
_space_group_name_Hall 'C 2 -2'
_cell_length_a 9.561
_cell_length_b 9.577
_cell_length_c 4.324
_cell_angle_alpha 90.00
_cell_angle_beta 90.00
_cell_angle_gamma 90.00
loop_
_atom_site_label
_atom_site_type_symbol
_atom_site_fract_x
_atom_site_fract_y
_atom_site_fract_z
Gd1 Gd 0.000 0.000 0.000
Ho1 Ho 0.000 0.500 0.592
Ag1 Ag 0.250 0.250 0.796
Se1 Se 0.000 0.300 0.079
Se2 Se 0.204 0.000 0.513
```

Main lines, most intense first (10° ≤ 2θ ≤ 90°):
- d = 2.479 Å, 36.2 deg, intensity 100
- d = 2.392 Å, 37.6 deg, intensity 89
- d = 3.208 Å, 27.8 deg, intensity 70
- d = 2.664 Å, 33.6 deg, intensity 58
- d = 2.000 Å, 45.4 deg, intensity 55
- d = 1.970 Å, 46.1 deg, intensity 48
- d = 3.643 Å, 24.4 deg, intensity 42
- d = 3.383 Å, 26.3 deg, intensity 31
- d = 1.521 Å, 60.9 deg, intensity 27
- d = 1.692 Å, 54.2 deg, intensity 23

# La2GdIn3AgPd2
Theoretical PXRD pattern, Cu Kα (weighted mean of Kα1 and Kα2). Input: a structure optimized by DFT (PBE).

```
data_La2GdIn3AgPd2
_chemical_formula_sum 'La4 Gd2 In6 Ag2 Pd4'
_space_group_name_H-M_alt 'A m m 2'
_space_group_IT_number 38
_space_group_name_Hall 'A 2 -2'
_cell_length_a 4.038
_cell_length_b 13.670
_cell_length_c 7.882
_cell_angle_alpha 90.00
_cell_angle_beta 90.00
_cell_angle_gamma 90.00
loop_
_atom_site_label
_atom_site_type_symbol
_atom_site_fract_x
_atom_site_fract_y
_atom_site_fract_z
La1 La 0.000 0.207 0.000
Gd1 Gd 0.000 0.000 0.382
In1 In 0.500 0.000 0.058
In2 In 0.500 0.127 0.660
Ag1 Ag 0.000 0.000 0.792
Pd1 Pd 0.500 0.165 0.294
```

Main lines, most intense first (10° ≤ 2θ ≤ 90°):
- d = 2.608 Å, 34.4 deg, intensity 100
- d = 2.821 Å, 31.7 deg, intensity 98
- d = 2.582 Å, 34.7 deg, intensity 49
- d = 2.277 Å, 39.6 deg, intensity 38
- d = 1.461 Å, 63.7 deg, intensity 33
- d = 2.019 Å, 44.9 deg, intensity 26
- d = 2.175 Å, 41.5 deg, intensity 24
- d = 1.590 Å, 58.0 deg, intensity 22
- d = 1.511 Å, 61.4 deg, intensity 20
- d = 1.715 Å, 53.4 deg, intensity 16